Simulated XRD peak list of PrClO2 for Cu Kα (weighted mean of Kα1 and Kα2), from a crystal structure in the Materials Project, relaxed with GGA-PBE.

Crystal structure
a b c (Å): 6.549 3.813 6.699
angles (deg): 90.00 110.58 90.00
Fractional positions:
Pr  0.191  0.250  0.336
Pr  0.809  0.750  0.664
Cl  0.236  0.750  0.023
Cl  0.764  0.250  0.977
O  0.045  0.250  0.618
O  0.415  0.750  0.543
O  0.585  0.250  0.457
O  0.955  0.750  0.382

Main lines, sorted by position (2θ = 10–90°):
- (0 0 1), 14.1 deg, I 690
- (1 0 -1), 16.3 deg, I 1000
- (1 0 1), 23.6 deg, I 877
- (1 0 -2), 27.0 deg, I 585
- (0 1 1), 27.4 deg, I 806
- (1 1 0), 27.5 deg, I 760
- (1 1 -1), 28.6 deg, I 983
- (2 1 -2), 40.7 deg, I 522